Dy5Sb4Se: calculated powder X-ray diffraction pattern (Cu Kα, 1.54184 Å), based on a cell relaxed with GGA-PBE.
Lines closer than 0.1° are merged.

Top 8 peaks for 2θ from 10° to 90°, by angle:
(hkl), Position (°2θ), d/Å, intensity
1 2 1, 25.21, 3.532, 6
0 0 2, 29.20, 3.059, 100
3 1 2, 41.76, 2.163, 76
2 4 2, 51.77, 1.766, 27
6 2 0, 60.58, 1.528, 8
3 1 4, 68.58, 1.368, 23
5 5 0, 68.65, 1.367, 11
2 4 4, 76.25, 1.249, 25

Structure:
```
data_Dy5Sb4Se
_chemical_formula_sum 'Dy10 Sb8 Se2'
_cell_length_a 9.667
_cell_length_b 9.667
_cell_length_c 6.125
_cell_angle_alpha 90.00
_cell_angle_beta 90.00
_cell_angle_gamma 90.00
_symmetry_space_group_name_H-M 'I 4/m'
_symmetry_Int_Tables_number 87
_symmetry_space_group_name_Hall '-I 4'
loop_
_atom_site_label
_atom_site_type_symbol
_atom_site_fract_x
_atom_site_fract_y
_atom_site_fract_z
Dy1 Dy 0.000 0.000 0.000
Dy2 Dy 0.100 0.706 0.500
Sb1 Sb 0.097 0.700 0.000
Se1 Se 0.000 0.000 0.500
```

=====

Dy6TcSb2: calculated powder X-ray diffraction pattern (Cu Kα, 1.54184 Å), based on a cell relaxed with GGA-PBE.
Lines closer than 0.1° are merged.

Top 8 peaks for 2θ from 10° to 90°, by angle:
(hkl), Position (°2θ), d/Å, intensity
1 1 1, 30.32, 2.947, 100
2 0 1, 32.91, 2.722, 70
2 1 0, 33.44, 2.680, 61
3 0 0, 38.07, 2.363, 29
2 1 1, 39.77, 2.266, 34
0 0 2, 42.57, 2.124, 25
2 1 2, 55.19, 1.664, 29
3 2 1, 60.99, 1.519, 27

Structure:
```
data_Dy6TcSb2
_chemical_formula_sum 'Dy6 Tc1 Sb2'
_cell_length_a 8.1874
_cell_length_b 8.1874
_cell_length_c 4.2472
_cell_angle_alpha 90.00
_cell_angle_beta 90.00
_cell_angle_gamma 120.00
_symmetry_space_group_name_H-M 'P -6 2 m'
_symmetry_Int_Tables_number 189
_symmetry_space_group_name_Hall 'P -6 -2'
loop_
_atom_site_label
_atom_site_type_symbol
_atom_site_fract_x
_atom_site_fract_y
_atom_site_fract_z
Dy1 Dy 0.0000 0.3981 0.0000
Dy2 Dy 0.0000 0.7635 0.5000
Tc1 Tc 0.0000 0.0000 0.0000
Sb1 Sb 0.3333 0.6667 0.5000
```